Simulated X-ray diffraction stick pattern of SnPtS for Cu Kα, from the PBE geometry in the Materials Project.
Neutral-atom scattering factors, no anomalous dispersion.

Crystal structure
a b c (Å): 6.2078 6.2078 6.2078
angles (deg): 90.00 90.00 90.00
Atoms (fractional coordinates):
Sn 0.1178 0.3822 0.6178
Sn 0.3822 0.6178 0.1178
Sn 0.6178 0.1178 0.3822
Sn 0.8822 0.8822 0.8822
Pt 0.0111 0.9889 0.4889
Pt 0.4889 0.0111 0.9889
Pt 0.5111 0.5111 0.5111
Pt 0.9889 0.4889 0.0111
S 0.1202 0.1202 0.1202
S 0.3798 0.8798 0.6202
S 0.6202 0.3798 0.8798
S 0.8798 0.6202 0.3798

Principal peaks in the range 5° ≤ 2θ ≤ 70°, by angle:
2θ/deg  d (Å)  I/Imax
24.84  3.584  59
28.76  3.104  74
32.24  2.776  51
35.42  2.534  26
41.13  2.195  50
48.65  1.872  100
50.96  1.792  22
55.38  1.659  17
65.55  1.424  15
67.47  1.388  19

***

Simulated X-ray diffraction stick pattern of Tl2Pt5S6 for Cu Kα, from the PBE geometry in the Materials Project.
Neutral-atom scattering factors, no anomalous dispersion.

Crystal structure
a b c (Å): 7.0439 7.0925 12.5019
angles (deg): 90.00 116.13 90.00
Atoms (fractional coordinates):
Tl 0.1612 0.2126 0.0455
Tl 0.1612 0.2874 0.5455
Tl 0.8388 0.7126 0.4545
Tl 0.8388 0.7874 0.9545
Pt 0.0002 0.1889 0.2449
Pt 0.0002 0.3111 0.7449
Pt 0.9998 0.6889 0.2551
Pt 0.9998 0.8111 0.7551
Pt 0.5000 0.0000 0.5000
Pt 0.4996 0.0720 0.7671
Pt 0.4996 0.4280 0.2671
Pt 0.5000 0.5000 0.0000
Pt 0.5004 0.5720 0.7329
Pt 0.5004 0.9280 0.2329
S 0.2417 0.0588 0.8349
S 0.2417 0.4412 0.3349
S 0.2421 0.5640 0.8069
S 0.2421 0.9360 0.3069
S 0.3487 0.6586 0.1134
S 0.3487 0.8414 0.6134
S 0.6513 0.1586 0.3866
S 0.6513 0.3414 0.8866
S 0.7579 0.0640 0.6931
S 0.7579 0.4360 0.1931
S 0.7583 0.5588 0.6651
S 0.7583 0.9412 0.1651

Principal peaks in the range 5° ≤ 2θ ≤ 70°, by angle:
2θ/deg  d (Å)  I/Imax
15.79  5.611  23
18.80  4.720  23
25.52  3.490  21
28.22  3.162  34
28.46  3.136  41
28.86  3.093  80
31.62  2.830  52
31.95  2.801  100
38.38  2.346  63
52.23  1.751  24

***

Simulated X-ray diffraction stick pattern of Y2Pt2S7 for Cu Kα, from the PBE geometry in the Materials Project.
Neutral-atom scattering factors, no anomalous dispersion.

Crystal structure
a b c (Å): 8.6575 8.6575 8.6575
angles (deg): 60.00 60.00 60.00
Atoms (fractional coordinates):
Y 0.0000 0.0000 0.0000
Y 0.0000 0.0000 0.5000
Y 0.0000 0.5000 0.0000
Y 0.5000 0.0000 0.0000
Pt 0.0000 0.5000 0.5000
Pt 0.5000 0.0000 0.5000
Pt 0.5000 0.5000 0.0000
Pt 0.5000 0.5000 0.5000
S 0.1250 0.1250 0.1250
S 0.1625 0.1625 0.5875
S 0.1625 0.5875 0.1625
S 0.1625 0.5875 0.5875
S 0.4125 0.4125 0.8375
S 0.4125 0.8375 0.4125
S 0.4125 0.8375 0.8375
S 0.5875 0.1625 0.1625
S 0.5875 0.1625 0.5875
S 0.5875 0.5875 0.1625
S 0.8375 0.4125 0.4125
S 0.8375 0.4125 0.8375
S 0.8375 0.8375 0.4125
S 0.8750 0.8750 0.8750

Principal peaks in the range 5° ≤ 2θ ≤ 70°, by angle:
2θ/deg  d (Å)  I/Imax
12.52  7.069  18
24.11  3.692  18
25.20  3.534  100
29.18  3.061  20
41.73  2.164  67
49.37  1.846  48
51.73  1.767  8
60.49  1.530  10
66.59  1.404  20
68.55  1.369  12

***

Simulated X-ray diffraction stick pattern of SbPt for Cu Kα, from the PBE geometry in the Materials Project.
Neutral-atom scattering factors, no anomalous dispersion.

Crystal structure
a b c (Å): 4.2081 4.2081 5.5894
angles (deg): 90.00 90.00 120.00
Atoms (fractional coordinates):
Sb 0.3333 0.6667 0.2500
Sb 0.6667 0.3333 0.7500
Pt 0.0000 0.0000 0.0000
Pt 0.0000 0.0000 0.5000

Principal peaks in the range 5° ≤ 2θ ≤ 70°, by angle:
2θ/deg  d (Å)  I/Imax
24.43  3.644  50
29.25  3.053  42
40.68  2.218  100
42.99  2.104  66
50.06  1.822  8
52.85  1.732  8
55.38  1.659  7
60.67  1.526  31
66.97  1.397  6
68.07  1.377  6

***

Simulated X-ray diffraction stick pattern of SbPt7 for Cu Kα, from the PBE geometry in the Materials Project.
Neutral-atom scattering factors, no anomalous dispersion.

Crystal structure
a b c (Å): 5.6994 5.6994 5.6994
angles (deg): 60.00 60.00 60.00
Atoms (fractional coordinates):
Sb 0.0000 0.0000 0.0000
Pt 0.0000 0.0000 0.5000
Pt 0.0000 0.5000 0.0000
Pt 0.0000 0.5000 0.5000
Pt 0.5000 0.0000 0.0000
Pt 0.5000 0.0000 0.5000
Pt 0.5000 0.5000 0.0000
Pt 0.5000 0.5000 0.5000

Principal peaks in the range 5° ≤ 2θ ≤ 70°, by angle:
2θ/deg  d (Å)  I/Imax
19.07  4.654  1
22.06  4.030  1
31.39  2.850  1
36.99  2.430  1
38.70  2.327  100
44.99  2.015  49
65.51  1.425  33

***

Simulated X-ray diffraction stick pattern of Sb2Pt3 for Cu Kα, from the PBE geometry in the Materials Project.
Neutral-atom scattering factors, no anomalous dispersion.

Crystal structure
a b c (Å): 6.9953 6.9953 6.9953
angles (deg): 123.83 75.04 134.54
Atoms (fractional coordinates):
Sb 0.1553 0.2399 0.3952
Sb 0.3447 0.7399 0.0847
Sb 0.6553 0.2601 0.9153
Sb 0.8447 0.7601 0.6048
Pt 0.1091 0.6295 0.7386
Pt 0.2500 0.2500 0.0000
Pt 0.3909 0.1295 0.5204
Pt 0.6091 0.8705 0.4796
Pt 0.7500 0.7500 0.0000
Pt 0.8909 0.3705 0.2614

Principal peaks in the range 5° ≤ 2θ ≤ 70°, by angle:
2θ/deg  d (Å)  I/Imax
27.66  3.225  63
32.85  2.726  65
36.85  2.439  100
38.97  2.311  43
40.28  2.239  62
43.01  2.103  44
43.31  2.089  44
46.93  1.936  88
47.62  1.910  69
69.57  1.351  64

***

Simulated X-ray diffraction stick pattern of SbPtSe for Cu Kα, from the PBE geometry in the Materials Project.
Neutral-atom scattering factors, no anomalous dispersion.

Crystal structure
a b c (Å): 6.4316 6.4316 6.4316
angles (deg): 90.00 90.00 90.00
Atoms (fractional coordinates):
Sb 0.1197 0.1197 0.1197
Sb 0.3803 0.8803 0.6197
Sb 0.6197 0.3803 0.8803
Sb 0.8803 0.6197 0.3803
Pt 0.0019 0.9981 0.4981
Pt 0.4981 0.0019 0.9981
Pt 0.5019 0.5019 0.5019
Pt 0.9981 0.4981 0.0019
Se 0.1226 0.3774 0.6226
Se 0.3774 0.6226 0.1226
Se 0.6226 0.1226 0.3774
Se 0.8774 0.8774 0.8774

Principal peaks in the range 5° ≤ 2θ ≤ 70°, by angle:
2θ/deg  d (Å)  I/Imax
23.96  3.713  38
27.74  3.216  62
31.09  2.876  45
34.15  2.626  36
39.64  2.274  44
46.85  1.939  100
49.07  1.857  17
51.21  1.784  13
53.29  1.719  20
64.83  1.438  19

***

Simulated X-ray diffraction stick pattern of Sn14Sb11Pt8 for Cu Kα, from the PBE geometry in the Materials Project.
Neutral-atom scattering factors, no anomalous dispersion.

Crystal structure
a b c (Å): 9.5013 9.5215 9.5807
angles (deg): 90.27 90.29 90.23
Atoms (fractional coordinates):
Sn 0.0000 0.0000 0.0000
Sn 0.0000 0.1617 0.6552
Sn 0.1827 0.5072 0.4989
Sn 0.1833 0.6626 0.8505
Sn 0.3425 0.3293 0.8606
Sn 0.3463 0.3175 0.1682
Sn 0.3663 0.2332 0.5603
Sn 0.4973 0.8266 0.4970
Sn 0.5095 0.6625 0.1535
Sn 0.5109 0.5163 0.4932
Sn 0.6861 0.1603 0.6555
Sn 0.6927 0.0023 0.9991
Sn 0.8445 0.8188 0.3371
Sn 0.8465 0.5131 0.3377
Sb 0.9996 0.3138 0.9974
Sb 0.0056 0.1630 0.3475
Sb 0.1900 0.8186 0.5011
Sb 0.1932 0.6618 0.1565
Sb 0.3443 0.0089 0.8438
Sb 0.3463 0.0104 0.1555
Sb 0.4978 0.6619 0.8465
Sb 0.6912 0.3154 0.9962
Sb 0.6924 0.1636 0.3457
Sb 0.8427 0.8215 0.6515
Sb 0.8435 0.5108 0.6503
Pt 0.0909 0.4140 0.7506
Pt 0.0927 0.4124 0.2468
Pt 0.0951 0.9117 0.7499
Pt 0.0982 0.9137 0.2508
Pt 0.5925 0.9099 0.7508
Pt 0.5945 0.4139 0.7482
Pt 0.5942 0.9170 0.2484
Pt 0.6008 0.4106 0.2456

Principal peaks in the range 5° ≤ 2θ ≤ 70°, by angle:
2θ/deg  d (Å)  I/Imax
18.52  4.790  30
18.66  4.756  61
29.51  3.027  71
29.66  3.012  100
29.76  3.002  43
42.16  2.143  28
42.36  2.134  70
42.50  2.127  42
42.59  2.123  27
46.68  1.946  50